For SnPO4, a cell relaxed with GGA-PBE gives the theoretical XRD peak list in this record (Cu Kα).
Kinematic intensities with the Lorentz-polarization factor, no thermal factor.

Atomic structure:
a = 4.3857 Å, b = 15.5542 Å, c = 5.0995 Å
α = 90.00°, β = 90.78°, γ = 90.00°
Space group P2_1/c (No. 14)
Unique sites:
Sn 0.0739 0.1665 0.4187 [4 per cell]
P 0.4252 0.6513 0.5827 [4 per cell]
O 0.1862 0.7120 0.7249 [4 per cell]
O 0.2599 0.5990 0.3674 [4 per cell]
O 0.3280 0.2094 0.0585 [4 per cell]
O 0.4163 0.0982 0.6991 [4 per cell]

The 6 most intense peaks (10 to 90 degrees two-theta), sorted by position:
2theta, Rel. int.
11.38, 100.0
22.87, 22.0
24.49, 16.1
29.04, 43.7
32.13, 54.0
41.14, 18.6

---

For ZnC2N2, a cell relaxed with GGA-PBE gives the theoretical XRD peak list in this record (Cu Kα).
Kinematic intensities with the Lorentz-polarization factor, no thermal factor.

Atomic structure:
a = 5.9465 Å, b = 5.9465 Å, c = 5.9465 Å
α = 90.00°, β = 90.00°, γ = 90.00°
Space group P-43m (No. 215)
Unique sites:
Zn 0.0000 0.0000 0.0000 [1 per cell]
Zn 0.5000 0.5000 0.5000 [1 per cell]
C 0.1955 0.1955 0.1955 [4 per cell]
N 0.3087 0.3087 0.3087 [4 per cell]

The 6 most intense peaks (10 to 90 degrees two-theta), sorted by position:
2theta, Rel. int.
21.13, 100.0
25.95, 12.7
37.03, 34.8
43.02, 23.3
58.04, 25.4
66.74, 12.7